Computed X-ray powder pattern
Compound: NaLaTaP3O12
Radiation: Cu Ka
Structure: a cell relaxed with GGA-PBE
Kinematic intensities with the Lorentz-polarization factor, no thermal factor.

Crystal structure
a = 9.1901 Å, b = 9.1901 Å, c = 23.2073 Å
α = 90.00°, β = 90.00°, γ = 120.00°
Space group R3c (No. 161, hexagonal axes)
Asymmetric unit:
Na 0.0000 0.0000 0.0000 (multiplicity 6)
La 0.0000 0.0000 0.3537 (multiplicity 6)
Ta 0.0000 0.0000 0.1439 (multiplicity 6)
P 0.0247 0.3923 0.4120 (multiplicity 18)
O 0.0062 0.2109 0.8000 (multiplicity 18)
O 0.0443 0.2009 0.6918 (multiplicity 18)
O 0.1232 0.4342 0.0706 (multiplicity 18)
O 0.1887 0.0645 0.0839 (multiplicity 18)

Largest 10 diffraction maxima, in order of falling intensity, 10° ≤ 2θ ≤ 90°:
2θ (°)	I (rel.)	hkl
19.32	100	1 1 0
18.93	82	1 0 4
30.20	64	1 1 6
27.17	46	0 2 4
33.79	38	3 0 0
13.49	34	0 1 2
33.56	30	2 1 4
22.51	30	1 1 3
49.61	24	2 1 10
52.70	23	4 1 0